[1]
Computed PXRD pattern of Sc6ReO12 for Cu Ka, from a cell relaxed with PBE.
Peak positions follow from Bragg's law for the DFT cell and can differ from measured ones.

Principal peaks in the range 2θ from 10° to 80°, low angle first:
| d [Å] | 2theta | Rel. int. |
| --- | --- | --- |
| 6.606 | 13.40 | 61 |
| 4.178 | 21.26 | 88 |
| 3.814 | 23.32 | 100 |
| 3.114 | 28.66 | 77 |
| 2.817 | 31.77 | 49 |
| 2.497 | 35.97 | 65 |
| 2.266 | 39.78 | 54 |
| 2.039 | 44.44 | 41 |
| 1.832 | 49.76 | 63 |
| 1.459 | 63.79 | 32 |

Structure:
```
Sc6ReO12
1.0
5.3941 0.0000 0.0000
0.0000 7.6284 0.0000
0.0000 -3.8142 6.6064
Sc Re O
6 1 12
Direct
0.1083 0.1711 0.3557
0.1711 0.6443 0.1083
0.3557 0.1083 0.8289
0.6443 0.8917 0.1711
0.8289 0.3557 0.8917
0.8917 0.8289 0.6443
0.5000 0.5000 0.5000
0.0820 0.0868 0.6778
0.0868 0.3222 0.0820
0.1960 0.5980 0.4555
0.3222 0.9180 0.0868
0.4020 0.4555 0.8040
0.4555 0.1960 0.4020
0.5445 0.8040 0.5980
0.5980 0.5445 0.1960
0.6778 0.0820 0.9132
0.8040 0.4020 0.5445
0.9132 0.6778 0.9180
0.9180 0.9132 0.3222
```

[2]
Computed PXRD pattern of SmCuO3 for Cu Ka, from a cell relaxed with PBE.
Peak positions follow from Bragg's law for the DFT cell and can differ from measured ones.

Principal peaks in the range 2θ from 10° to 80°, low angle first:
| d [Å] | 2theta | Rel. int. |
| --- | --- | --- |
| 3.557 | 25.04 | 56 |
| 3.165 | 28.20 | 17 |
| 2.897 | 30.86 | 33 |
| 2.702 | 33.15 | 100 |
| 2.681 | 33.43 | 28 |
| 1.968 | 46.13 | 28 |
| 1.912 | 47.56 | 16 |
| 1.894 | 48.03 | 25 |
| 1.799 | 50.74 | 15 |
| 1.552 | 59.58 | 22 |

Structure:
```
SmCuO3
1.0
6.3298 0.0000 0.0000
0.0000 7.1974 0.0000
0.0000 0.0000 5.3615
Sm Cu O
4 4 12
Direct
0.1025 0.2500 0.0253
0.3975 0.7500 0.5253
0.6025 0.2500 0.4747
0.8975 0.7500 0.9747
0.0000 0.0000 0.5000
0.0000 0.5000 0.5000
0.5000 0.0000 0.0000
0.5000 0.5000 0.0000
0.0340 0.7500 0.3884
0.1583 0.5484 0.7860
0.1583 0.9516 0.7860
0.3417 0.0484 0.2860
0.3417 0.4516 0.2860
0.4660 0.2500 0.8884
0.5340 0.7500 0.1116
0.6583 0.5484 0.7140
0.6583 0.9516 0.7140
0.8417 0.0484 0.2140
0.8417 0.4516 0.2140
0.9660 0.2500 0.6116
```

[3]
Computed PXRD pattern of MgTe4Mo3WS4 for Cu Ka, from a cell relaxed with PBE.
Peak positions follow from Bragg's law for the DFT cell and can differ from measured ones.

Principal peaks in the range 2θ from 10° to 80°, low angle first:
| d [Å] | 2theta | Rel. int. |
| --- | --- | --- |
| 8.659 | 10.22 | 100 |
| 7.216 | 12.27 | 18 |
| 4.811 | 18.44 | 13 |
| 2.912 | 30.70 | 40 |
| 2.763 | 32.41 | 10 |
| 2.566 | 34.96 | 46 |
| 2.418 | 37.18 | 23 |
| 2.193 | 41.15 | 42 |
| 2.121 | 42.62 | 9 |
| 1.683 | 54.52 | 21 |

Structure:
```
MgTe4Mo3WS4
1.0
2.9147 -1.6829 0.0000
2.9147 1.6829 0.0000
-0.0897 0.0000 43.2962
Mg Te Mo W S
1 4 3 1 4
Direct
0.0000 0.0000 0.0000
0.9998 0.9998 0.7606
0.3315 0.3315 0.2372
0.3330 0.3330 0.3244
0.9983 0.9983 0.6734
0.3325 0.3325 0.0965
0.3323 0.3323 0.7170
0.9989 0.9989 0.2808
0.0001 0.0001 0.8977
0.9996 0.9996 0.1310
0.3329 0.3329 0.8630
0.3340 0.3340 0.9328
0.9986 0.9986 0.0617
```

[4]
Computed PXRD pattern of Na2YHC2O7 for Cu Ka, from a cell relaxed with PBE.
Peak positions follow from Bragg's law for the DFT cell and can differ from measured ones.

Principal peaks in the range 2θ from 10° to 80°, low angle first:
| d [Å] | 2theta | Rel. int. |
| --- | --- | --- |
| 8.808 | 10.04 | 100 |
| 5.841 | 15.17 | 40 |
| 5.130 | 17.29 | 78 |
| 5.037 | 17.61 | 50 |
| 4.581 | 19.38 | 60 |
| 2.988 | 29.91 | 60 |
| 2.856 | 31.32 | 64 |
| 2.805 | 31.90 | 40 |
| 2.727 | 32.84 | 57 |
| 2.123 | 42.58 | 41 |

Structure:
```
Na2YHC2O7
1.0
8.8556 -3.0955 0.0000
8.8556 3.0955 0.0000
-1.1904 0.0000 11.4242
Na Y H C O
8 4 4 8 28
Direct
0.0091 0.2128 0.3816
0.1447 0.3236 0.1423
0.2128 0.0091 0.8816
0.3236 0.1447 0.6423
0.6764 0.8553 0.3577
0.7872 0.9909 0.1184
0.8553 0.6764 0.8577
0.9909 0.7872 0.6184
0.2814 0.5976 0.3691
0.4024 0.7186 0.1309
0.5976 0.2814 0.8691
0.7186 0.4024 0.6309
0.2391 0.5593 0.1235
0.4407 0.7609 0.3765
0.5593 0.2391 0.6235
0.7609 0.4407 0.8765
0.1382 0.7327 0.8837
0.2175 0.3662 0.4217
0.2673 0.8618 0.6163
0.3662 0.2175 0.9217
0.6338 0.7825 0.0783
0.7327 0.1382 0.3837
0.7825 0.6338 0.5783
0.8618 0.2673 0.1163
0.0687 0.0915 0.0832
0.0915 0.0687 0.5832
0.1164 0.4872 0.3271
0.1930 0.5947 0.7999
0.2024 0.2592 0.9340
0.2017 0.6737 0.1755
0.2592 0.2024 0.4340
0.2810 0.4192 0.5037
0.3058 0.6807 0.9345
0.3193 0.6942 0.5655
0.3263 0.7983 0.3245
0.4053 0.8070 0.7001
0.4192 0.2810 0.0037
0.4872 0.1164 0.8271
0.5128 0.8836 0.1729
0.5808 0.7190 0.9963
0.5947 0.1930 0.2999
0.6737 0.2017 0.6755
0.6807 0.3058 0.4345
0.6942 0.3193 0.0655
0.7190 0.5808 0.4963
0.7408 0.7976 0.5660
0.7983 0.3263 0.8245
0.7976 0.7408 0.0660
0.8070 0.4053 0.2001
0.8836 0.5128 0.6729
0.9085 0.9313 0.4168
0.9313 0.9085 0.9168
```